For MgFe10O16F4, a cell relaxed with GGA+U gives the computed X-ray powder pattern in this record (λ = 1.5418 Å (Cu Kα)).

Principal peaks in the range 10 to 90 degrees two-theta, in order of rising 2θ:
d [Å]  Position (°2θ)  I (rel.)
3.365  26.49  1000
2.558  35.08  148
2.545  35.26  139
2.527  35.53  276
2.244  40.18  90
1.753  52.19  134
1.744  52.46  128
1.728  52.99  94
1.723  53.16  242
1.684  54.50  92

Structure:
```
31
Lattice="4.844 0.000 0.000 0.011 5.554 0.000 0.074 2.537 12.643" Properties=species:S:1:pos:R:3 pbc="T T T"
Mg 0.000 0.000 0.000
Fe 0.132 6.709 6.362
Fe 0.140 2.933 8.860
Fe 2.261 2.421 3.815
Fe 2.355 4.094 6.220
Fe 2.408 0.842 1.349
Fe 2.574 5.706 8.656
Fe 2.588 7.538 11.121
Fe 4.670 3.277 1.399
Fe 4.791 4.759 11.227
Fe 4.853 5.124 3.728
O 0.762 1.829 0.510
O 0.811 3.494 2.991
O 0.877 2.944 10.751
O 0.878 5.188 5.471
O 1.007 6.894 8.095
O 1.489 0.776 3.078
O 1.524 2.426 5.558
O 1.568 4.097 8.000
O 3.190 2.383 2.147
O 3.246 3.977 4.501
O 3.297 3.483 12.129
O 3.382 5.597 6.908
O 3.454 7.301 9.460
O 4.018 4.540 9.494
O 4.035 5.136 1.863
O 4.108 6.301 12.172
F 1.654 5.747 10.606
F 1.639 4.656 0.495
F 3.930 1.239 4.518
F 3.988 2.836 6.999
```

***

For MgFe6O6F6, a cell relaxed with GGA+U gives the computed X-ray powder pattern in this record (λ = 1.5418 Å (Cu Kα)).

Principal peaks in the range 10 to 90 degrees two-theta, in order of rising 2θ:
d [Å]  Position (°2θ)  I (rel.)
7.400  11.96  700
3.580  24.87  1000
3.539  25.16  871
3.019  29.59  729
2.987  29.92  604
2.650  33.83  464
2.619  34.24  644
2.354  38.24  338
1.654  55.55  451
1.534  60.32  377

Structure:
```
19
Lattice="3.069 0.000 0.000 -0.064 5.140 0.000 -0.107 -0.169 14.800" Properties=species:S:1:pos:R:3 pbc="T T T"
Mg 0.000 0.000 0.000
Fe 1.378 4.640 7.315
Fe 1.420 4.679 2.957
Fe 1.355 4.948 11.422
Fe 2.931 2.446 5.028
Fe 2.926 2.439 9.624
Fe 3.016 2.712 1.306
O 1.395 3.330 5.836
O 1.430 3.932 0.798
O 1.388 3.255 10.576
O 2.917 3.383 3.327
O 2.915 3.901 8.244
O 2.950 0.805 10.836
F 3.045 0.782 1.970
F 1.401 1.187 4.281
F 1.407 1.400 8.585
F 1.457 1.123 14.568
F 2.958 0.670 6.421
F 2.903 4.453 12.888
```

***

For MgFe6O6F6, a cell relaxed with GGA+U gives the computed X-ray powder pattern in this record (λ = 1.5418 Å (Cu Kα)).

Principal peaks in the range 10 to 90 degrees two-theta, in order of rising 2θ:
d [Å]  Position (°2θ)  I (rel.)
4.472  19.85  271
3.733  23.84  1000
3.697  24.07  872
2.659  33.71  209
2.615  34.29  193
2.557  35.09  380
2.256  39.96  208
2.236  40.33  210
1.846  49.37  201
1.469  63.29  189

Structure:
```
19
Lattice="5.192 0.000 0.000 -0.051 5.321 0.000 -0.016 -0.345 8.815" Properties=species:S:1:pos:R:3 pbc="T T T"
Mg 0.000 0.000 0.000
Fe 0.093 2.109 7.244
Fe 2.022 4.722 5.874
Fe 2.643 0.039 8.805
Fe 2.836 0.138 2.998
Fe 4.518 2.842 1.530
Fe 4.617 2.855 4.474
O 0.817 3.254 5.768
O 1.292 0.349 7.382
O 3.360 4.320 4.449
O 3.646 4.573 1.409
O 3.807 1.791 2.977
O 4.192 1.745 0.015
F 0.626 3.409 2.936
F 0.846 3.600 0.209
F 1.341 0.660 1.591
F 1.408 0.566 4.378
F 3.637 4.243 7.339
F 3.853 1.598 5.769
```

***

For MgFe6O6F6, a cell relaxed with GGA+U gives the computed X-ray powder pattern in this record (λ = 1.5418 Å (Cu Kα)).

Principal peaks in the range 10 to 90 degrees two-theta, in order of rising 2θ:
d [Å]  Position (°2θ)  I (rel.)
3.580  24.87  971
3.414  26.10  1000
2.624  34.18  585
2.595  34.56  621
2.332  38.61  262
2.283  39.48  256
1.831  49.79  378
1.785  51.17  376
1.759  51.99  275
1.707  53.70  231

Structure:
```
19
Lattice="5.045 0.000 0.000 0.000 3.073 0.000 -0.695 0.000 14.546" Properties=species:S:1:pos:R:3 pbc="T T T"
Mg 0.000 0.000 0.000
Fe -0.016 1.536 2.553
Fe 0.085 1.536 7.372
Fe 0.052 1.536 11.942
Fe 2.478 0.000 0.333
Fe 2.338 0.000 5.167
Fe 2.244 0.000 9.675
O 0.936 0.000 1.795
O 0.798 0.000 6.495
O 0.618 1.536 13.864
O 0.963 0.000 11.236
O 1.430 1.536 8.854
O 3.841 1.536 0.826
F 1.346 1.536 4.077
F 3.471 1.536 5.999
F 3.448 1.536 10.573
F 3.948 0.000 3.470
F 3.928 0.000 8.346
F 3.724 0.000 12.711
```

***

For MgFe6O6F6, a cell relaxed with GGA+U gives the computed X-ray powder pattern in this record (λ = 1.5418 Å (Cu Kα)).

Principal peaks in the range 10 to 90 degrees two-theta, in order of rising 2θ:
d [Å]  Position (°2θ)  I (rel.)
3.705  24.02  1000
3.395  26.25  894
2.628  34.12  453
2.598  34.52  651
2.361  38.12  214
1.866  48.80  293
1.834  49.70  221
1.782  51.27  349
1.754  52.14  215
1.532  60.44  223

Structure:
```
19
Lattice="5.134 0.000 0.000 0.000 3.063 0.000 -1.287 0.000 14.715" Properties=species:S:1:pos:R:3 pbc="T T T"
Mg 0.000 0.000 0.000
Fe 1.589 0.000 5.001
Fe 1.451 0.000 9.694
Fe 1.418 0.000 14.513
Fe 3.574 1.532 7.395
Fe 3.555 1.532 11.938
Fe 4.363 1.532 2.820
O 0.203 0.000 3.634
O 2.163 1.532 8.669
O 3.054 0.000 6.278
O 2.710 0.000 11.097
O 2.699 1.532 13.885
O 3.863 0.000 1.584
F -0.399 0.000 8.213
F -0.166 0.000 13.081
F 0.259 1.532 10.492
F 0.686 1.532 5.909
F 1.244 1.532 0.660
F 2.634 1.532 3.932
```

***

For MgFe10O16F4, a cell relaxed with GGA+U gives the computed X-ray powder pattern in this record (λ = 1.5418 Å (Cu Kα)).

Principal peaks in the range 10 to 90 degrees two-theta, in order of rising 2θ:
d [Å]  Position (°2θ)  I (rel.)
3.379  26.38  979
3.353  26.58  1000
2.554  35.14  295
2.550  35.19  281
2.525  35.56  546
2.236  40.34  181
1.753  52.17  266
1.727  53.04  308
1.720  53.27  344
1.424  65.55  245

Structure:
```
31
Lattice="4.854 0.000 0.000 -0.031 5.555 0.000 -0.053 -2.560 12.618" Properties=species:S:1:pos:R:3 pbc="T T T"
Mg 0.000 0.000 0.000
Fe -0.054 2.674 8.934
Fe 0.079 0.751 11.246
Fe 2.166 1.500 6.280
Fe 2.179 -0.274 8.714
Fe 2.362 -1.890 11.353
Fe 2.394 3.108 3.836
Fe 2.480 4.688 1.313
Fe 4.602 0.479 3.947
Fe 4.622 -1.277 6.434
Fe 4.801 2.294 1.423
O 0.705 2.692 7.146
O 0.744 -0.772 12.225
O 0.806 1.008 9.499
O 1.319 -0.107 7.003
O 1.363 1.593 4.496
O 1.420 -1.741 9.680
O 1.518 3.210 2.106
O 1.537 2.031 12.161
O 3.148 3.104 5.579
O 3.208 0.814 0.601
O 3.202 4.763 3.104
O 3.750 0.305 5.664
O 3.774 -1.391 8.191
O 3.884 2.015 3.073
O 3.976 2.607 10.709
O 4.038 3.742 0.467
F 0.735 0.331 1.936
F 0.717 4.359 4.560
F 3.162 1.420 8.128
F 3.222 -0.161 10.637
```

***

For MgFe6O11F, a cell relaxed with GGA+U gives the computed X-ray powder pattern in this record (λ = 1.5418 Å (Cu Kα)).

Principal peaks in the range 10 to 90 degrees two-theta, in order of rising 2θ:
d [Å]  Position (°2θ)  I (rel.)
3.829  23.23  1000
3.312  26.92  890
2.577  34.81  218
2.524  35.57  437
2.506  35.83  179
2.440  36.84  346
2.153  41.95  179
1.717  53.36  328
1.669  55.02  184
1.440  64.72  199

Structure:
```
19
Lattice="5.812 0.000 0.000 0.851 5.857 0.000 2.078 2.374 6.456" Properties=species:S:1:pos:R:3 pbc="T T T"
Mg 0.000 0.000 0.000
Fe 2.571 5.295 6.332
Fe 1.670 3.650 3.090
Fe 4.107 6.581 4.242
Fe 3.449 4.876 0.883
Fe 5.411 3.474 5.275
Fe 4.688 1.898 2.101
O 0.542 1.539 1.162
O 2.454 6.773 5.127
O 1.532 4.204 1.183
O 2.962 2.175 2.991
O 4.323 5.045 5.352
O 4.013 2.073 5.624
O 3.890 0.470 0.646
O 4.535 3.318 0.842
O 5.640 6.311 3.271
O 5.687 3.073 3.396
O 7.392 3.980 5.065
F 3.122 5.155 2.863
```

***

For MgFe6O6F6, a cell relaxed with GGA+U gives the computed X-ray powder pattern in this record (λ = 1.5418 Å (Cu Kα)).

Principal peaks in the range 10 to 90 degrees two-theta, in order of rising 2θ:
d [Å]  Position (°2θ)  I (rel.)
4.594  19.32  213
3.663  24.30  512
3.287  27.12  1000
3.074  29.04  651
2.672  33.54  687
2.646  33.88  438
2.612  34.34  406
2.525  35.55  246
1.677  54.75  233
1.576  58.57  301

Structure:
```
19
Lattice="3.152 0.000 0.000 0.021 5.062 0.000 0.209 1.551 14.295" Properties=species:S:1:pos:R:3 pbc="T T T"
Mg 0.000 0.000 0.000
Fe 1.532 4.423 9.079
Fe 1.523 4.103 5.009
Fe 1.774 3.972 14.059
Fe 3.100 1.903 7.262
Fe 3.171 1.826 11.576
Fe 3.108 1.953 2.883
O 1.524 2.731 8.056
O 1.531 2.821 3.467
O 1.741 2.308 12.960
O 3.108 5.283 8.295
O 3.099 3.321 5.767
O 3.138 1.682 1.060
F 1.533 5.896 10.574
F 1.510 0.832 6.023
F 1.593 4.199 0.888
F 3.117 3.553 10.278
F 3.120 5.245 3.825
F 3.343 5.042 13.043
```

***

Copy entry 1 word for word.
For MgFe10O16F4, a cell relaxed with GGA+U gives the computed X-ray powder pattern in this record (λ = 1.5418 Å (Cu Kα)).

Principal peaks in the range 10 to 90 degrees two-theta, in order of rising 2θ:
d [Å]  Position (°2θ)  I (rel.)
3.365  26.49  1000
2.558  35.08  148
2.545  35.26  139
2.527  35.53  276
2.244  40.18  90
1.753  52.19  134
1.744  52.46  128
1.728  52.99  94
1.723  53.16  242
1.684  54.50  92

Structure:
```
31
Lattice="4.844 0.000 0.000 0.011 5.554 0.000 0.074 2.537 12.643" Properties=species:S:1:pos:R:3 pbc="T T T"
Mg 0.000 0.000 0.000
Fe 0.132 6.709 6.362
Fe 0.140 2.933 8.860
Fe 2.261 2.421 3.815
Fe 2.355 4.094 6.220
Fe 2.408 0.842 1.349
Fe 2.574 5.706 8.656
Fe 2.588 7.538 11.121
Fe 4.670 3.277 1.399
Fe 4.791 4.759 11.227
Fe 4.853 5.124 3.728
O 0.762 1.829 0.510
O 0.811 3.494 2.991
O 0.877 2.944 10.751
O 0.878 5.188 5.471
O 1.007 6.894 8.095
O 1.489 0.776 3.078
O 1.524 2.426 5.558
O 1.568 4.097 8.000
O 3.190 2.383 2.147
O 3.246 3.977 4.501
O 3.297 3.483 12.129
O 3.382 5.597 6.908
O 3.454 7.301 9.460
O 4.018 4.540 9.494
O 4.035 5.136 1.863
O 4.108 6.301 12.172
F 1.654 5.747 10.606
F 1.639 4.656 0.495
F 3.930 1.239 4.518
F 3.988 2.836 6.999
```